The following is a calculated X-ray powder pattern of VNiGeRu. It was derived from the GGA-PBE geometry in Alexandria, using Cu Ka.
Neutral-atom scattering factors, no anomalous dispersion.

Main lines, by angle (5 to 70 degrees two-theta):
(0 0 2), 24.70 deg, intensity 2
(1 0 1), 26.50 deg, intensity 8
(1 1 0), 33.31 deg, intensity 2
(1 1 2), 41.91 deg, intensity 100
(1 0 3), 44.61 deg, intensity 2
(2 0 0), 47.83 deg, intensity 34
(0 0 4), 50.66 deg, intensity 14
(2 1 1), 55.51 deg, intensity 2
(2 1 3), 67.46 deg, intensity 1
(2 2 0), 69.96 deg, intensity 10

Cell and atoms:
abc: 3.804 3.804 7.208
angles: 90.00 90.00 90.00
Space group I-4m2 (No. 119)
Inequivalent atoms, fractional coordinates:
V 0.000 0.000 0.000 x2
Ni 0.000 0.500 0.750 x2
Ge 0.000 0.000 0.500 x2
Ru 0.000 0.500 0.250 x2

The following is a calculated X-ray powder pattern of V2Ni7Ge2Ru. It was derived from the GGA-PBE geometry in Alexandria, using Cu Ka.
Neutral-atom scattering factors, no anomalous dispersion.

Main lines, by angle (5 to 70 degrees two-theta):
(0 0 1), 7.65 deg, intensity 20
(0 2 0), 35.33 deg, intensity 8
(0 2 1), 36.20 deg, intensity 8
(0 2 2), 38.72 deg, intensity 8
(2 0 3), 42.65 deg, intensity 100
(0 0 6), 47.19 deg, intensity 22
(0 2 4), 47.67 deg, intensity 19
(2 2 0), 50.85 deg, intensity 19
(2 2 1), 51.51 deg, intensity 14
(2 2 3), 56.55 deg, intensity 7

Cell and atoms:
abc: 5.076 5.081 11.557
angles: 90.00 90.00 90.00
Space group Cmmm (No. 65)
Inequivalent atoms, fractional coordinates:
V 0.000 0.000 0.177 x4
Ni 0.000 0.000 0.500 x2
Ni 0.249 0.500 0.000 x4
Ni 0.250 0.250 0.342 x8
Ge 0.000 0.500 0.190 x4
Ru 0.000 0.500 0.500 x2

The following is a calculated X-ray powder pattern of NiGeS2. It was derived from the GGA-PBE geometry in Alexandria, using Cu Ka.
Neutral-atom scattering factors, no anomalous dispersion.

Main lines, by angle (5 to 70 degrees two-theta):
(0 0 3), 12.74 deg, intensity 10
(0 0 6), 25.63 deg, intensity 14
(0 1 2), 30.11 deg, intensity 100
(1 0 4), 33.67 deg, intensity 22
(0 1 5), 36.13 deg, intensity 13
(0 1 8), 45.49 deg, intensity 31
(1 1 0), 51.10 deg, intensity 35
(1 0 10), 52.94 deg, intensity 32
(1 1 6), 58.02 deg, intensity 9
(2 0 2), 60.46 deg, intensity 13

Cell and atoms:
abc: 3.5752 3.5752 20.8531
angles: 90.00 90.00 120.00
Space group R-3m (No. 166, hexagonal axes)
Inequivalent atoms, fractional coordinates:
Ni 0.0000 0.0000 0.0000 x3
Ge 0.0000 0.0000 0.5000 x3
S 0.0000 0.0000 0.1000 x6

The following is a calculated X-ray powder pattern of Ni8Ge2Sb. It was derived from the GGA-PBE geometry in Alexandria, using Cu Ka.
Neutral-atom scattering factors, no anomalous dispersion.

Main lines, by angle (5 to 70 degrees two-theta):
(1 1 -1), 28.44 deg, intensity 6
(1 1 -2), 39.22 deg, intensity 10
(5 1 -1), 42.02 deg, intensity 100
(1 1 2), 43.45 deg, intensity 100
(6 0 0), 43.76 deg, intensity 9
(5 1 -2), 46.61 deg, intensity 12
(4 0 -3), 47.75 deg, intensity 31
(0 2 0), 49.07 deg, intensity 40
(6 0 1), 52.39 deg, intensity 21
(0 0 4), 67.84 deg, intensity 7

Cell and atoms:
abc: 13.259 3.713 5.901
angles: 90.00 110.58 90.00
Space group C2/m (No. 12)
Inequivalent atoms, fractional coordinates:
Ni 0.035 0.000 0.229 x4
Ni 0.093 0.500 0.968 x4
Ni 0.164 0.000 0.737 x4
Ni 0.178 0.500 0.425 x4
Ge 0.204 0.000 0.170 x4
Sb 0.000 0.500 0.500 x2

The following is a calculated X-ray powder pattern of Ni7GeSb2. It was derived from the GGA-PBE geometry in Alexandria, using Cu Ka.
Neutral-atom scattering factors, no anomalous dispersion.

Main lines, by angle (5 to 70 degrees two-theta):
(0 0 2), 8.24 deg, intensity 3
(1 0 1), 24.89 deg, intensity 10
(1 0 3), 27.57 deg, intensity 37
(1 0 5), 32.31 deg, intensity 4
(1 0 7), 38.44 deg, intensity 4
(1 1 6), 43.40 deg, intensity 100
(1 0 9), 45.51 deg, intensity 9
(2 0 0), 50.30 deg, intensity 32
(0 0 12), 51.06 deg, intensity 15
(2 1 3), 58.31 deg, intensity 9

Cell and atoms:
abc: 3.628 3.628 21.466
angles: 90.00 90.00 90.00
Space group I4/mmm (No. 139)
Inequivalent atoms, fractional coordinates:
Ni 0.000 0.000 0.000 x2
Ni 0.000 0.500 0.080 x8
Ni 0.000 0.500 0.250 x4
Ge 0.000 0.000 0.500 x2
Sb 0.000 0.000 0.165 x4

The following is a calculated X-ray powder pattern of VNi7Ge2Sb2. It was derived from the GGA-PBE geometry in Alexandria, using Cu Ka.
Neutral-atom scattering factors, no anomalous dispersion.

Main lines, by angle (5 to 70 degrees two-theta):
(0 0 4), 12.22 deg, intensity 37
(1 0 1), 25.05 deg, intensity 15
(1 0 5), 29.31 deg, intensity 36
(1 0 7), 33.08 deg, intensity 27
(1 1 0), 35.44 deg, intensity 34
(1 1 2), 36.00 deg, intensity 64
(1 1 6), 40.21 deg, intensity 22
(1 1 8), 43.61 deg, intensity 25
(1 1 10), 47.70 deg, intensity 100
(2 0 0), 50.99 deg, intensity 66

Cell and atoms:
abc: 3.582 3.582 28.966
angles: 90.00 90.00 90.00
Space group I4/mmm (No. 139)
Inequivalent atoms, fractional coordinates:
V 0.000 0.000 0.000 x2
Ni 0.000 0.000 0.303 x4
Ni 0.000 0.000 0.500 x2
Ni 0.000 0.500 0.060 x8
Ge 0.000 0.000 0.384 x4
Sb 0.000 0.000 0.212 x4

The following is a calculated X-ray powder pattern of ScNi9Ge2. It was derived from the GGA-PBE geometry in Alexandria, using Cu Ka.
Neutral-atom scattering factors, no anomalous dispersion.

Main lines, by angle (5 to 70 degrees two-theta):
(0 0 1), 8.23 deg, intensity 6
(0 0 2), 16.49 deg, intensity 1
(1 0 1), 25.84 deg, intensity 1
(1 0 2), 29.64 deg, intensity 1
(1 1 3), 43.28 deg, intensity 100
(1 1 4), 49.00 deg, intensity 2
(2 0 0), 50.11 deg, intensity 32
(0 0 6), 50.98 deg, intensity 14
(0 0 7), 60.27 deg, intensity 1

Cell and atoms:
abc: 3.641 3.641 10.748
angles: 90.00 90.00 90.00
Space group P4/mmm (No. 123)
Inequivalent atoms, fractional coordinates:
Sc 0.000 0.000 0.000 x1
Ni 0.000 0.500 0.178 x4
Ni 0.000 0.500 0.500 x2
Ni 0.500 0.500 0.000 x1
Ni 0.500 0.500 0.339 x2
Ge 0.000 0.000 0.336 x2

The following is a calculated X-ray powder pattern of Sc12Ni6Ge. It was derived from the GGA-PBE geometry in Alexandria, using Cu Ka.
Neutral-atom scattering factors, no anomalous dispersion.

Main lines, by angle (5 to 70 degrees two-theta):
(2 0 0), 19.78 deg, intensity 22
(2 2 2), 34.61 deg, intensity 18
(3 1 2), 37.48 deg, intensity 100
(4 0 0), 40.18 deg, intensity 14
(4 1 1), 42.73 deg, intensity 15
(4 3 1), 51.94 deg, intensity 28
(5 3 0), 60.09 deg, intensity 7
(6 0 0), 62.03 deg, intensity 12
(5 2 3), 63.92 deg, intensity 16
(5 1 4), 67.63 deg, intensity 7

Cell and atoms:
abc: 8.978 8.978 8.978
angles: 90.00 90.00 90.00
Space group Im-3 (No. 204)
Inequivalent atoms, fractional coordinates:
Sc 0.000 0.295 0.187 x24
Ni 0.000 0.133 0.500 x12
Ge 0.000 0.000 0.000 x2

The following is a calculated X-ray powder pattern of Ni2Ge3Se3. It was derived from the GGA-PBE geometry in Alexandria, using Cu Ka.
Neutral-atom scattering factors, no anomalous dispersion.

Main lines, by angle (5 to 70 degrees two-theta):
(0 1 2), 14.72 deg, intensity 12
(2 0 2), 20.87 deg, intensity 10
(3 -2 2), 25.64 deg, intensity 10
(4 -1 2), 33.29 deg, intensity 100
(1 3 4), 39.60 deg, intensity 23
(0 3 6), 45.20 deg, intensity 8
(4 2 2), 47.79 deg, intensity 38
(6 -4 4), 52.65 deg, intensity 17
(5 2 0), 54.98 deg, intensity 23
(5 3 2), 63.70 deg, intensity 9

Cell and atoms:
abc: 12.0493 12.0493 14.7143
angles: 90.00 90.00 120.00
Space group R-3 (No. 148, hexagonal axes)
Inequivalent atoms, fractional coordinates:
Ni 0.0000 0.0000 0.2489 x6
Ni 0.0013 0.5017 0.2515 x18
Ge 0.0072 0.8341 0.8372 x18
Ge 0.0573 0.4513 0.1072 x18
Se 0.0199 0.8376 0.3328 x18
Se 0.0531 0.4513 0.5986 x18

The following is a calculated X-ray powder pattern of Si2Ni3Ge. It was derived from the GGA-PBE geometry in Alexandria, using Cu Ka.
Neutral-atom scattering factors, no anomalous dispersion.

Main lines, by angle (5 to 70 degrees two-theta):
(2 0 -1), 27.72 deg, intensity 83
(1 1 -2), 36.31 deg, intensity 31
(2 0 1), 36.51 deg, intensity 19
(2 0 -3), 43.42 deg, intensity 37
(1 1 2), 43.58 deg, intensity 75
(1 1 -3), 47.47 deg, intensity 66
(2 0 2), 47.71 deg, intensity 29
(0 2 0), 48.19 deg, intensity 54
(3 1 -1), 48.29 deg, intensity 100
(2 2 -3), 66.86 deg, intensity 19

Cell and atoms:
abc: 6.524 3.777 6.668
angles: 90.00 109.37 90.00
Space group P2_1/m (No. 11)
Inequivalent atoms, fractional coordinates:
Si 0.019 0.250 0.301 x2
Si 0.252 0.250 0.002 x2
Ni 0.120 0.750 0.110 x2
Ni 0.215 0.750 0.494 x2
Ni 0.377 0.750 0.886 x2
Ge 0.467 0.250 0.663 x2

The following is a calculated X-ray powder pattern of SiNi5Ge. It was derived from the GGA-PBE geometry in Alexandria, using Cu Ka.
Neutral-atom scattering factors, no anomalous dispersion.

Main lines, by angle (5 to 70 degrees two-theta):
(0 0 1), 14.26 deg, intensity 11
(1 0 1), 28.32 deg, intensity 3
(0 0 2), 28.76 deg, intensity 3
(1 1 0), 34.69 deg, intensity 6
(1 1 1), 37.68 deg, intensity 27
(0 0 3), 43.74 deg, intensity 11
(1 1 2), 45.66 deg, intensity 100
(2 0 0), 49.87 deg, intensity 41
(0 0 4), 59.56 deg, intensity 8
(2 0 3), 68.47 deg, intensity 10

Cell and atoms:
abc: 3.657 3.657 6.209
angles: 90.00 90.00 90.00
Space group P4/mmm (No. 123)
Inequivalent atoms, fractional coordinates:
Si 0.000 0.000 0.000 x1
Ni 0.000 0.000 0.500 x1
Ni 0.000 0.500 0.220 x4
Ge 0.500 0.500 0.500 x1

The following is a calculated X-ray powder pattern of SiNi5Ge. It was derived from the GGA-PBE geometry in Alexandria, using Cu Ka.
Neutral-atom scattering factors, no anomalous dispersion.

Main lines, by angle (5 to 70 degrees two-theta):
(0 2 0), 26.62 deg, intensity 13
(2 2 0), 40.62 deg, intensity 18
(1 1 3), 44.69 deg, intensity 51
(2 2 1), 45.12 deg, intensity 50
(3 1 -1), 45.47 deg, intensity 49
(2 0 -4), 46.91 deg, intensity 57
(1 3 -2), 47.03 deg, intensity 100
(0 2 5), 66.52 deg, intensity 12
(2 4 1), 67.25 deg, intensity 12
(4 2 -3), 67.72 deg, intensity 12

Cell and atoms:
abc: 6.287 6.688 8.193
angles: 90.00 109.03 90.00
Space group C2/c (No. 15)
Inequivalent atoms, fractional coordinates:
Si 0.000 0.000 0.250 x4
Ni 0.000 0.343 0.250 x4
Ni 0.107 0.153 0.536 x8
Ni 0.202 0.315 0.840 x8
Ge 0.000 0.500 0.000 x4